No. 1
Starting from a GGA-PBE-relaxed structure, the XRD peak list of GaAgSbOsPt was computed for Cu Kα.

```
GaAgSbOsPt
1.0
8.7989 0.0000 0.0000
0.0000 4.1770 0.0000
-1.7435 0.0000 4.9652
Ga Ag Sb Os Pt
2 2 2 2 2
Cartesian
0.0000 0.0000 0.0000 Ga
4.3995 2.0885 0.0000 Ga
-0.1701 2.0885 4.1217 Ag
4.2293 0.0000 4.1217 Ag
1.5387 0.0000 2.6420 Sb
5.9381 2.0885 2.6420 Sb
3.2394 2.0885 2.3845 Os
7.6389 0.0000 2.3845 Os
2.9915 0.0000 0.4022 Pt
7.3909 2.0885 0.4022 Pt
```

Top 12 peaks for 2θ = 5–70°, most intense first:
- 2θ = 39.04°, 2.307 Å, rel. 100
- 2θ = 40.54°, 2.225 Å, rel. 77
- 2θ = 32.08°, 2.790 Å, rel. 58
- 2θ = 43.32°, 2.089 Å, rel. 50
- 2θ = 45.70°, 1.985 Å, rel. 37
- 2θ = 36.18°, 2.483 Å, rel. 30
- 2θ = 21.41°, 4.151 Å, rel. 29
- 2θ = 38.21°, 2.355 Å, rel. 29
- 2θ = 22.92°, 3.879 Å, rel. 28
- 2θ = 48.57°, 1.875 Å, rel. 22
- 2θ = 23.85°, 3.731 Å, rel. 21
- 2θ = 46.84°, 1.939 Å, rel. 17

No. 2
Starting from a GGA-PBE-relaxed structure, the XRD peak list of Nd8Ni2Ir was computed for Cu Kα.

```
Nd8Ni2Ir
1.0
4.2168 -6.2878 0.0000
4.2168 6.2878 0.0000
-2.2498 0.0000 6.0737
Nd Ni Ir
8 2 1
Cartesian
0.0000 0.0000 0.0000 Nd
-0.0657 1.7158 3.3970 Nd
2.5614 2.4680 1.0869 Nd
-0.0657 -1.7158 3.3970 Nd
3.0484 1.6910 4.8622 Nd
2.5614 -2.4680 1.0869 Nd
3.0484 -1.6910 4.8622 Nd
5.1654 0.0000 2.3527 Nd
1.5018 3.9616 4.2430 Ni
1.5018 -3.9616 4.2430 Ni
2.1733 0.0000 2.4650 Ir
```

Top 12 peaks for 2θ = 5–70°, most intense first:
- 2θ = 32.76°, 2.733 Å, rel. 100
- 2θ = 30.24°, 2.956 Å, rel. 88
- 2θ = 30.98°, 2.887 Å, rel. 46
- 2θ = 32.06°, 2.792 Å, rel. 37
- 2θ = 38.92°, 2.314 Å, rel. 36
- 2θ = 28.48°, 3.134 Å, rel. 35
- 2θ = 33.51°, 2.674 Å, rel. 34
- 2θ = 36.51°, 2.461 Å, rel. 30
- 2θ = 26.35°, 3.382 Å, rel. 28
- 2θ = 51.24°, 1.783 Å, rel. 20
- 2θ = 38.68°, 2.328 Å, rel. 19
- 2θ = 16.57°, 5.349 Å, rel. 19

No. 3
Starting from a GGA-PBE-relaxed structure, the XRD peak list of NdDy4N4 was computed for Cu Kα.

```
NdDy4N4
1.0
-3.9627 3.9627 2.4582
3.9627 -3.9627 2.4582
3.9627 3.9627 -2.4582
Nd Dy N
1 4 4
Cartesian
0.0000 0.0000 0.0000 Nd
4.8342 1.4626 0.0000 Dy
1.4626 3.0913 0.0000 Dy
2.5001 0.8714 2.4582 Dy
-0.8714 2.5001 2.4582 Dy
2.4232 0.7996 0.0000 N
3.1632 -1.5396 2.4582 N
0.7996 5.5023 0.0000 N
1.5396 3.1632 2.4582 N
```

Top 12 peaks for 2θ = 5–70°, most intense first:
- 2θ = 31.11°, 2.875 Å, rel. 100
- 2θ = 35.83°, 2.506 Å, rel. 45
- 2θ = 52.12°, 1.755 Å, rel. 30
- 2θ = 61.46°, 1.509 Å, rel. 27
- 2θ = 36.55°, 2.458 Å, rel. 22
- 2θ = 62.43°, 1.487 Å, rel. 15
- 2θ = 51.57°, 1.772 Å, rel. 15
- 2θ = 64.86°, 1.438 Å, rel. 14
- 2θ = 15.81°, 5.604 Å, rel. 2
- 2θ = 66.29°, 1.410 Å, rel. 2
- 2θ = 45.18°, 2.007 Å, rel. 1
- 2θ = 45.80°, 1.981 Å, rel. 1

No. 4
Starting from a GGA-PBE-relaxed structure, the XRD peak list of Li2Pb2Au was computed for Cu Kα.

```
Li2Pb2Au
1.0
3.7546 -4.4989 0.0000
3.7546 4.4989 0.0000
0.0000 0.0000 6.9075
Li Pb Au
4 4 2
Cartesian
3.3110 2.6006 0.0000 Li
4.1982 2.6006 3.4538 Li
3.3110 -2.6006 3.4538 Li
4.1982 -2.6006 0.0000 Li
2.1757 0.4475 4.7652 Pb
2.1757 -0.4475 1.3114 Pb
5.3335 0.4475 1.3114 Pb
5.3335 -0.4475 4.7652 Pb
1.8773 2.2494 2.2415 Au
1.8773 -2.2494 5.6953 Au
```

Top 12 peaks for 2θ = 5–70°, most intense first:
- 2θ = 34.73°, 2.583 Å, rel. 100
- 2θ = 23.70°, 3.755 Å, rel. 87
- 2θ = 32.69°, 2.740 Å, rel. 44
- 2θ = 25.80°, 3.454 Å, rel. 42
- 2θ = 40.77°, 2.213 Å, rel. 39
- 2θ = 20.06°, 4.426 Å, rel. 36
- 2θ = 35.31°, 2.542 Å, rel. 33
- 2θ = 49.21°, 1.851 Å, rel. 27
- 2θ = 67.19°, 1.393 Å, rel. 25
- 2θ = 62.72°, 1.481 Å, rel. 25
- 2θ = 42.27°, 2.138 Å, rel. 25
- 2θ = 57.13°, 1.612 Å, rel. 15

No. 5
Starting from a GGA-PBE-relaxed structure, the XRD peak list of Sm5ThSe7 was computed for Cu Kα.

```
Sm5ThSe7
1.0
6.9221 -2.0467 0.0000
6.9221 2.0467 0.0000
-0.9640 0.0000 24.4776
Sm Th Se
10 2 14
Cartesian
0.0000 0.0000 0.0000 Sm
-0.4718 0.0000 12.2394 Sm
2.8572 0.0000 22.7769 Sm
3.3731 0.0000 13.9573 Sm
5.8253 0.0000 8.6705 Sm
6.1928 0.0000 3.5401 Sm
6.6911 0.0000 20.9386 Sm
7.0711 0.0000 15.8106 Sm
9.5248 0.0000 10.5240 Sm
10.0246 0.0000 1.7017 Sm
2.6618 0.0000 5.7978 Th
10.2281 0.0000 18.6888 Th
0.8009 0.0000 9.4924 Se
1.3013 0.0000 2.8588 Se
1.6460 0.0000 20.0818 Se
2.1233 0.0000 16.6976 Se
4.5754 0.0000 11.2869 Se
5.0381 0.0000 0.9125 Se
5.4273 0.0000 18.3124 Se
7.4620 0.0000 6.1653 Se
7.8434 0.0000 23.5671 Se
8.3231 0.0000 13.1947 Se
10.7726 0.0000 7.7832 Se
11.2369 0.0000 4.3969 Se
11.5817 0.0000 21.6205 Se
12.0985 0.0000 14.9847 Se
```

Top 12 peaks for 2θ = 5–70°, most intense first:
- 2θ = 30.93°, 2.891 Å, rel. 100
- 2θ = 44.23°, 2.048 Å, rel. 93
- 2θ = 30.28°, 2.952 Å, rel. 88
- 2θ = 31.49°, 2.841 Å, rel. 85
- 2θ = 29.90°, 2.988 Å, rel. 64
- 2θ = 25.78°, 3.456 Å, rel. 47
- 2θ = 29.06°, 3.072 Å, rel. 41
- 2θ = 43.35°, 2.087 Å, rel. 41
- 2θ = 24.90°, 3.576 Å, rel. 40
- 2θ = 40.12°, 2.247 Å, rel. 33
- 2θ = 42.69°, 2.118 Å, rel. 31
- 2θ = 40.56°, 2.224 Å, rel. 31

No. 6
Starting from a GGA-PBE-relaxed structure, the XRD peak list of Tb5Y3Tm was computed for Cu Kα.

```
Tb5Y3Tm
1.0
8.1000 -3.3371 0.0000
8.1000 3.3371 0.0000
-3.6616 0.0000 11.0917
Tb Y Tm
10 6 2
Cartesian
0.6695 1.3459 8.4765 Tb
5.3538 2.0671 8.3187 Tb
3.1214 0.3876 6.1263 Tb
4.9522 -0.3876 0.5804 Tb
2.5003 -1.3459 2.9307 Tb
10.0381 1.3459 8.1610 Tb
7.5862 0.3876 10.5112 Tb
9.4170 -0.3876 4.9654 Tb
7.1846 -2.0671 2.7729 Tb
11.8689 -1.3459 2.6151 Tb
1.7108 0.3538 0.1565 Y
-0.1200 -0.3538 5.7023 Y
8.1000 0.0000 0.0000 Y
6.2692 0.0000 5.5458 Y
12.6584 0.3538 5.3894 Y
10.8276 -0.3538 10.9352 Y
7.1846 1.3315 2.7729 Tm
5.3538 -1.3315 8.3187 Tm
```

Top 12 peaks for 2θ = 5–70°, most intense first:
- 2θ = 31.28°, 2.860 Å, rel. 100
- 2θ = 32.25°, 2.775 Å, rel. 59
- 2θ = 31.49°, 2.841 Å, rel. 32
- 2θ = 35.64°, 2.519 Å, rel. 22
- 2θ = 63.91°, 1.457 Å, rel. 20
- 2θ = 28.30°, 3.153 Å, rel. 16
- 2θ = 33.39°, 2.683 Å, rel. 14
- 2θ = 23.13°, 3.846 Å, rel. 13
- 2θ = 32.03°, 2.794 Å, rel. 12
- 2θ = 23.67°, 3.760 Å, rel. 12
- 2θ = 58.81°, 1.570 Å, rel. 12
- 2θ = 56.49°, 1.629 Å, rel. 11

No. 7
Starting from a GGA-PBE-relaxed structure, the XRD peak list of PmNd2Tm12 was computed for Cu Kα.

```
PmNd2Tm12
1.0
3.5363 0.0000 0.0000
0.0000 5.5733 0.0000
-1.6993 0.0000 23.9185
Pm Nd Tm
1 2 12
Cartesian
0.0000 0.0000 0.0000 Pm
0.0496 0.0000 17.1827 Nd
1.7874 0.0000 6.7358 Nd
0.0009 2.7867 4.5995 Tm
0.0260 2.7867 7.9148 Tm
0.0335 0.0000 10.2742 Tm
0.0366 2.7867 13.2674 Tm
0.0733 0.0000 20.6553 Tm
0.0638 2.7867 22.3027 Tm
1.7731 2.7867 1.6158 Tm
1.7637 0.0000 3.2631 Tm
1.8004 2.7867 10.6511 Tm
1.8034 0.0000 13.6443 Tm
1.8109 2.7867 16.0036 Tm
1.8361 2.7867 19.3190 Tm
```

Top 12 peaks for 2θ = 5–70°, most intense first:
- 2θ = 31.38°, 2.850 Å, rel. 100
- 2θ = 32.12°, 2.787 Å, rel. 83
- 2θ = 30.69°, 2.913 Å, rel. 70
- 2θ = 34.45°, 2.603 Å, rel. 53
- 2θ = 32.64°, 2.744 Å, rel. 39
- 2θ = 34.03°, 2.635 Å, rel. 39
- 2θ = 46.45°, 1.955 Å, rel. 29
- 2θ = 36.50°, 2.462 Å, rel. 25
- 2θ = 62.18°, 1.493 Å, rel. 25
- 2θ = 30.46°, 2.935 Å, rel. 25
- 2θ = 29.90°, 2.988 Å, rel. 22
- 2θ = 51.70°, 1.768 Å, rel. 22

No. 8
Starting from a GGA-PBE-relaxed structure, the XRD peak list of Nd6InSn was computed for Cu Kα.

```
Nd6InSn
1.0
4.9743 0.0000 0.0000
0.0000 4.9743 0.0000
0.0000 0.0000 9.9303
Nd In Sn
6 1 1
Cartesian
0.0000 0.0000 0.0000 Nd
0.0000 0.0000 4.9652 Nd
0.0000 2.4871 2.4603 Nd
0.0000 2.4871 7.4700 Nd
2.4871 0.0000 2.4603 Nd
2.4871 0.0000 7.4700 Nd
2.4871 2.4871 4.9652 In
2.4871 2.4871 0.0000 Sn
```

Top 7 peaks for 2θ = 5–70°, most intense first:
- 2θ = 31.16°, 2.870 Å, rel. 100
- 2θ = 36.14°, 2.486 Å, rel. 50
- 2θ = 61.91°, 1.499 Å, rel. 42
- 2θ = 52.03°, 1.758 Å, rel. 36
- 2θ = 64.99°, 1.435 Å, rel. 12
- 2θ = 17.84°, 4.971 Å, rel. 1
- 2θ = 25.34°, 3.515 Å, rel. 1

No. 9
Starting from a GGA-PBE-relaxed structure, the XRD peak list of NdSm2Si was computed for Cu Kα.

```
NdSm2Si
1.0
7.8985 0.0000 0.0000
0.0000 9.2811 0.0000
0.0000 0.0000 6.4168
Nd Sm Si
4 8 4
Cartesian
0.2442 2.3203 0.8331 Nd
3.7050 6.9608 4.0415 Nd
4.1935 2.3203 2.3753 Nd
7.6542 6.9608 5.5837 Nd
1.4646 0.5082 4.0583 Sm
1.4646 4.1323 4.0583 Sm
2.4846 5.1488 0.8498 Sm
2.4846 8.7729 0.8498 Sm
5.4138 0.5082 5.5670 Sm
5.4138 4.1323 5.5670 Sm
6.4339 5.1488 2.3586 Sm
6.4339 8.7729 2.3586 Sm
0.9366 6.9608 2.7403 Si
3.0127 2.3203 5.9487 Si
4.8858 6.9608 0.4681 Si
6.9619 2.3203 3.6765 Si
```

Top 12 peaks for 2θ = 5–70°, most intense first:
- 2θ = 29.70°, 3.008 Å, rel. 100
- 2θ = 30.06°, 2.973 Å, rel. 91
- 2θ = 31.61°, 2.831 Å, rel. 77
- 2θ = 32.12°, 2.787 Å, rel. 75
- 2θ = 36.90°, 2.436 Å, rel. 70
- 2θ = 34.12°, 2.628 Å, rel. 61
- 2θ = 26.25°, 3.395 Å, rel. 61
- 2θ = 28.22°, 3.162 Å, rel. 57
- 2θ = 35.88°, 2.503 Å, rel. 55
- 2θ = 32.89°, 2.723 Å, rel. 55
- 2θ = 53.92°, 1.700 Å, rel. 52
- 2θ = 48.23°, 1.887 Å, rel. 47

No. 10
Starting from a GGA-PBE-relaxed structure, the XRD peak list of Hf3TcB7 was computed for Cu Kα.

```
Hf3TcB7
1.0
1.6847 -7.4116 0.0000
1.6847 7.4116 0.0000
0.0000 0.0000 9.0210
Hf Tc B
6 2 14
Cartesian
1.6847 5.8125 4.9948 Hf
1.6847 5.8125 8.5367 Hf
1.6847 3.7402 2.2553 Hf
1.6847 -3.7402 6.7658 Hf
1.6847 -5.8125 0.4843 Hf
1.6847 -5.8125 4.0262 Hf
1.6847 6.7136 2.2553 Tc
1.6847 -6.7136 6.7658 Tc
1.6847 3.3680 4.8126 B
1.6847 3.3680 8.7189 B
1.6847 1.9864 5.8757 B
1.6847 1.9864 7.6558 B
1.6847 0.9012 2.2553 B
1.6847 0.2309 5.3450 B
1.6847 0.2309 8.1865 B
1.6847 -0.2309 0.8345 B
1.6847 -0.2309 3.6760 B
1.6847 -0.9012 6.7658 B
1.6847 -1.9864 1.3652 B
1.6847 -1.9864 3.1453 B
1.6847 -3.3680 0.3021 B
1.6847 -3.3680 4.2084 B
```

Top 12 peaks for 2θ = 5–70°, most intense first:
- 2θ = 31.24°, 2.863 Å, rel. 100
- 2θ = 40.67°, 2.218 Å, rel. 85
- 2θ = 27.14°, 3.286 Å, rel. 82
- 2θ = 32.13°, 2.786 Å, rel. 59
- 2θ = 41.80°, 2.161 Å, rel. 49
- 2θ = 33.71°, 2.659 Å, rel. 46
- 2θ = 45.44°, 1.996 Å, rel. 35
- 2θ = 40.53°, 2.226 Å, rel. 28
- 2θ = 36.37°, 2.471 Å, rel. 28
- 2θ = 64.14°, 1.452 Å, rel. 27
- 2θ = 54.46°, 1.685 Å, rel. 25
- 2θ = 60.08°, 1.540 Å, rel. 24

No. 11
Starting from a GGA-PBE-relaxed structure, the XRD peak list of FeCl2 was computed for Cu Kα.

```
FeCl2
1.0
5.8136 0.0000 0.0000
0.0000 10.9473 0.0000
0.0000 0.0000 5.7252
Fe Cl
4 8
Cartesian
0.0000 0.0000 1.4313 Fe
0.0000 0.0000 4.2939 Fe
2.9068 5.4737 1.4313 Fe
2.9068 5.4737 4.2939 Fe
1.2670 1.2661 0.0000 Cl
1.2670 9.6812 2.8626 Cl
1.6398 4.2075 2.8626 Cl
1.6398 6.7398 0.0000 Cl
4.1737 4.2075 0.0000 Cl
4.1737 6.7398 2.8626 Cl
4.5466 1.2661 2.8626 Cl
4.5466 9.6812 0.0000 Cl
```

Top 12 peaks for 2θ = 5–70°, most intense first:
- 2θ = 17.27°, 5.134 Å, rel. 100
- 2θ = 27.27°, 3.271 Å, rel. 66
- 2θ = 16.19°, 5.474 Å, rel. 54
- 2θ = 44.42°, 2.040 Å, rel. 24
- 2θ = 45.87°, 1.978 Å, rel. 23
- 2θ = 45.52°, 1.993 Å, rel. 22
- 2θ = 43.07°, 2.100 Å, rel. 16
- 2θ = 55.13°, 1.666 Å, rel. 14
- 2θ = 35.92°, 2.500 Å, rel. 14
- 2θ = 28.89°, 3.091 Å, rel. 14
- 2θ = 47.58°, 1.911 Å, rel. 13
- 2θ = 58.10°, 1.588 Å, rel. 10

No. 12
Starting from a GGA-PBE-relaxed structure, the XRD peak list of Pr3Ge4Rh was computed for Cu Kα.

```
Pr3Ge4Rh
1.0
4.5515 0.0000 0.0000
0.0000 5.9628 0.0000
0.0000 0.0000 14.8735
Pr Ge Rh
6 8 2
Cartesian
0.0000 0.0000 0.0000 Pr
0.0000 2.9814 2.8459 Pr
0.0000 2.9814 12.0276 Pr
2.2757 0.0000 4.5908 Pr
2.2757 0.0000 10.2827 Pr
2.2757 2.9814 7.4367 Pr
0.0000 1.7089 5.6466 Ge
0.0000 1.7089 9.2269 Ge
0.0000 4.2539 5.6466 Ge
0.0000 4.2539 9.2269 Ge
2.2757 1.2725 1.7901 Ge
2.2757 1.2725 13.0833 Ge
2.2757 4.6903 1.7901 Ge
2.2757 4.6903 13.0833 Ge
0.0000 0.0000 7.4367 Rh
2.2757 2.9814 0.0000 Rh
```

Top 12 peaks for 2θ = 5–70°, most intense first:
- 2θ = 27.41°, 3.253 Å, rel. 100
- 2θ = 36.07°, 2.490 Å, rel. 36
- 2θ = 39.60°, 2.276 Å, rel. 31
- 2θ = 38.71°, 2.326 Å, rel. 29
- 2θ = 40.49°, 2.228 Å, rel. 26
- 2θ = 36.53°, 2.460 Å, rel. 25
- 2θ = 34.59°, 2.593 Å, rel. 22
- 2θ = 23.33°, 3.812 Å, rel. 22
- 2θ = 56.58°, 1.627 Å, rel. 19
- 2θ = 51.67°, 1.769 Å, rel. 18
- 2θ = 55.58°, 1.654 Å, rel. 14
- 2θ = 33.67°, 2.662 Å, rel. 12